The following is a simulated powder X-ray diffraction pattern of K3VS2O10. It was derived from a crystal structure in Alexandria, relaxed with GGA+U, using Cu Kα (weighted mean of Kα1 and Kα2).

Structural model:
Lattice parameters (Å, degrees): 7.522 7.378 10.199 90.00 103.79 90.00
Space group P2_1 (No. 4)
Asymmetric unit:
K: 0.014 0.000 0.232 (multiplicity 2)
K: 0.289 0.569 0.449 (multiplicity 2)
K: 0.419 0.267 0.093 (multiplicity 2)
V: 0.244 0.003 0.647 (multiplicity 2)
S: 0.048 0.968 0.845 (multiplicity 2)
S: 0.461 0.305 0.757 (multiplicity 2)
O: 0.052 0.136 0.761 (multiplicity 2)
O: 0.075 0.975 0.510 (multiplicity 2)
O: 0.116 0.002 0.989 (multiplicity 2)
O: 0.131 0.378 0.191 (multiplicity 2)
O: 0.186 0.846 0.792 (multiplicity 2)
O: 0.323 0.252 0.621 (multiplicity 2)
O: 0.365 0.851 0.276 (multiplicity 2)
O: 0.382 0.457 0.817 (multiplicity 2)
O: 0.415 0.872 0.624 (multiplicity 2)
O: 0.468 0.136 0.839 (multiplicity 2)

Most intense lines, 10 to 80 degrees two-theta, in order of falling intensity:
d_spacing, intensity
3.294, 100
5.917, 72
4.953, 59
3.014, 53
3.028, 52
4.308, 41